BaMnF5: theoretical powder diffractogram (copper Kα), based on a DFT-relaxed cell (PBE+U, Alexandria).
Peak positions follow from Bragg's law for the DFT cell and can differ from measured ones.

Atomic structure:
```
BaMnF5
1.0
5.3097 0.0000 0.0000
0.0000 5.8302 0.0000
0.0000 0.0000 14.2894
Ba Mn F
4 4 20
Direct
0.2457 0.1386 0.3405 Ba
0.2543 0.8614 0.8405 Ba
0.7457 0.3614 0.6595 Ba
0.7543 0.6386 0.1595 Ba
0.1754 0.8730 0.5872 Mn
0.3246 0.1270 0.0872 Mn
0.6754 0.6270 0.4128 Mn
0.8246 0.3730 0.9128 Mn
0.0333 0.1269 0.5266 F
0.0795 0.3832 0.8186 F
0.0833 0.1440 0.9880 F
0.1212 0.9235 0.1786 F
0.1977 0.3892 0.1476 F
0.3023 0.6108 0.6476 F
0.3788 0.0765 0.6786 F
0.4167 0.8560 0.4880 F
0.4205 0.6168 0.3186 F
0.4667 0.8731 0.0266 F
0.5333 0.3731 0.4734 F
0.5795 0.1168 0.1814 F
0.5833 0.3560 0.0120 F
0.6212 0.5765 0.8214 F
0.6977 0.1108 0.8524 F
0.8023 0.8892 0.3524 F
0.8788 0.4235 0.3214 F
0.9167 0.6440 0.5120 F
0.9205 0.8832 0.6814 F
0.9667 0.6269 0.9734 F
```

Peak list (8 most intense, 2θ from 10° to 90°, by angle)
22.65°, 3.926 Å, I 74, (1 1 0); 23.50°, 3.785 Å, I 100, (1 1 1); 24.13°, 3.689 Å, I 30, (0 1 3); 24.93°, 3.572 Å, I 23, (0 0 4); 30.15°, 2.964 Å, I 40, (1 0 4); 31.32°, 2.856 Å, I 33, (0 2 1); 40.04°, 2.252 Å, I 64, (1 2 3); 41.93°, 2.155 Å, I 24, (2 1 3)